LiMg2Hg3: theoretical powder X-ray diffraction pattern (λ = 1.5418 Å (Cu Kα)), based on a cell relaxed with GGA-PBE.
Peak positions follow from Bragg's law for the DFT cell and can differ from measured ones.

Top 10 peaks for 15° ≤ 2θ ≤ 90°, by intensity:
2θ (°)  intensity
37.08  100
37.32  98
25.35  91
25.68  88
26.61  80
36.23  54
36.55  52
45.52  39
45.78  38
65.57  19

Atomic structure:
a b c (Å): 4.959 6.699 7.751
angles (deg): 90.00 107.91 90.00
Element x y z (fractional)
1 Li 0.165 0.000 0.329
2 Li 0.835 0.000 0.671
3 Mg 0.168 0.500 0.332
4 Mg 0.500 0.000 0.000
5 Mg 0.500 0.500 0.000
6 Mg 0.832 0.500 0.668
7 Hg 0.000 0.244 0.000
8 Hg 0.000 0.756 0.000
9 Hg 0.328 0.238 0.659
10 Hg 0.328 0.762 0.659
11 Hg 0.672 0.238 0.341
12 Hg 0.672 0.762 0.341

Li5MgHg4: theoretical powder X-ray diffraction pattern (λ = 1.5418 Å (Cu Kα)), based on a cell relaxed with GGA-PBE.
Peak positions follow from Bragg's law for the DFT cell and can differ from measured ones.

Top 10 peaks for 15° ≤ 2θ ≤ 90°, by intensity:
2θ (°)  intensity
26.21  100
38.37  85
37.41  46
27.51  44
47.06  42
68.11  32
60.93  20
61.60  19
63.59  19
53.93  16

Atomic structure:
a b c (Å): 3.400 3.400 16.209
angles (deg): 90.00 90.00 90.00
Element x y z (fractional)
1 Li 0.000 0.000 0.000
2 Li 0.000 0.000 0.200
3 Li 0.000 0.000 0.391
4 Li 0.000 0.000 0.609
5 Li 0.000 0.000 0.800
6 Mg 0.500 0.500 0.500
7 Hg 0.500 0.500 0.101
8 Hg 0.500 0.500 0.302
9 Hg 0.500 0.500 0.698
10 Hg 0.500 0.500 0.899

LiPrMg2Hg2: theoretical powder X-ray diffraction pattern (λ = 1.5418 Å (Cu Kα)), based on a cell relaxed with GGA-PBE.
Peak positions follow from Bragg's law for the DFT cell and can differ from measured ones.

Top 10 peaks for 15° ≤ 2θ ≤ 90°, by intensity:
2θ (°)  intensity
24.79  100
36.73  59
33.91  55
45.57  24
44.82  21
59.29  19
50.85  18
64.35  17
67.30  16
45.77  14

Atomic structure:
a b c (Å): 4.894 4.894 6.765
angles (deg): 90.00 90.00 120.00
Element x y z (fractional)
1 Li 0.000 0.000 0.000
2 Pr 0.000 0.000 0.500
3 Mg 0.333 0.667 0.174
4 Mg 0.667 0.333 0.826
5 Hg 0.333 0.667 0.741
6 Hg 0.667 0.333 0.259

LiSmMg2Hg2: theoretical powder X-ray diffraction pattern (λ = 1.5418 Å (Cu Kα)), based on a cell relaxed with GGA-PBE.
Peak positions follow from Bragg's law for the DFT cell and can differ from measured ones.

Top 10 peaks for 15° ≤ 2θ ≤ 90°, by intensity:
2θ (°)  intensity
25.02  100
36.88  62
34.43  59
46.43  24
45.09  22
59.61  19
51.34  19
64.88  19
68.54  15
46.26  13

Atomic structure:
a b c (Å): 4.874 4.874 6.620
angles (deg): 90.00 90.00 120.00
Element x y z (fractional)
1 Li 0.000 0.000 0.000
2 Sm 0.000 0.000 0.500
3 Mg 0.333 0.667 0.177
4 Mg 0.667 0.333 0.823
5 Hg 0.333 0.667 0.734
6 Hg 0.667 0.333 0.266

LiSm2MgHg4: theoretical powder X-ray diffraction pattern (λ = 1.5418 Å (Cu Kα)), based on a cell relaxed with GGA-PBE.
Peak positions follow from Bragg's law for the DFT cell and can differ from measured ones.

Top 10 peaks for 15° ≤ 2θ ≤ 90°, by intensity:
2θ (°)  intensity
35.09  100
62.95  37
24.62  21
50.47  18
84.77  17
21.28  13
74.16  12
56.93  9
41.40  7
43.33  7

Atomic structure:
a b c (Å): 8.855 8.855 8.855
angles (deg): 33.58 33.58 33.58
Element x y z (fractional)
1 Li 0.000 0.000 0.000
2 Sm 0.249 0.249 0.249
3 Sm 0.751 0.751 0.751
4 Mg 0.500 0.500 0.500
5 Hg 0.123 0.123 0.123
6 Hg 0.373 0.373 0.373
7 Hg 0.627 0.627 0.627
8 Hg 0.877 0.877 0.877

LiMgSn2Hg4: theoretical powder X-ray diffraction pattern (λ = 1.5418 Å (Cu Kα)), based on a cell relaxed with GGA-PBE.
Peak positions follow from Bragg's law for the DFT cell and can differ from measured ones.

Top 10 peaks for 15° ≤ 2θ ≤ 90°, by intensity:
2θ (°)  intensity
29.97  100
43.31  72
26.04  66
30.53  46
53.57  39
42.90  38
50.88  22
70.95  17
71.84  15
78.83  13

Atomic structure:
a b c (Å): 7.218 7.213 5.963
angles (deg): 65.64 65.55 48.81
Element x y z (fractional)
1 Li 0.000 0.000 0.000
2 Mg 0.750 0.750 0.750
3 Sn 0.250 0.250 0.250
4 Sn 0.500 0.500 0.500
5 Hg 0.239 0.239 0.761
6 Hg 0.506 0.506 0.994
7 Hg 0.761 0.761 0.239
8 Hg 0.994 0.994 0.506

Li2MgTlHg: theoretical powder X-ray diffraction pattern (λ = 1.5418 Å (Cu Kα)), based on a cell relaxed with GGA-PBE.
Peak positions follow from Bragg's law for the DFT cell and can differ from measured ones.

Top 10 peaks for 15° ≤ 2θ ≤ 90°, by intensity:
2θ (°)  intensity
36.26  100
21.67  93
24.40  91
34.42  80
26.41  69
36.42  60
28.92  43
45.55  43
60.97  31
39.56  27

Atomic structure:
a b c (Å): 8.412 8.412 6.749
angles (deg): 90.00 90.00 154.30
Element x y z (fractional)
1 Li 0.190 0.810 0.537
2 Li 0.190 0.810 0.963
3 Li 0.810 0.190 0.037
4 Li 0.810 0.190 0.463
5 Mg 0.000 0.000 0.000
6 Mg 0.000 0.000 0.500
7 Tl 0.372 0.628 0.750
8 Tl 0.628 0.372 0.250
9 Hg 0.400 0.600 0.250
10 Hg 0.600 0.400 0.750

Li4Mg3Zn2Hg2: theoretical powder X-ray diffraction pattern (λ = 1.5418 Å (Cu Kα)), based on a cell relaxed with GGA-PBE.
Peak positions follow from Bragg's law for the DFT cell and can differ from measured ones.

Top 10 peaks for 15° ≤ 2θ ≤ 90°, by intensity:
2θ (°)  intensity
31.43  100
22.34  90
24.29  81
37.82  68
41.82  62
27.82  59
20.08  44
26.88  44
37.58  43
45.04  42

Atomic structure:
a b c (Å): 13.570 13.570 13.570
angles (deg): 162.94 162.94 24.22
Element x y z (fractional)
1 Li 0.110 0.610 0.500
2 Li 0.390 0.890 0.500
3 Li 0.610 0.110 0.500
4 Li 0.890 0.390 0.500
5 Mg 0.000 0.000 0.000
6 Mg 0.209 0.209 0.000
7 Mg 0.791 0.791 0.000
8 Zn 0.454 0.454 0.000
9 Zn 0.546 0.546 0.000
10 Hg 0.318 0.318 0.000
11 Hg 0.682 0.682 0.000